1.
The following is a computed powder XRD pattern of CoOF. It was derived from a cell relaxed with PBE+U, using Cu Kα (λ = 1.5418 Å).
No peak broadening, texture or thermal motion is included.

Cell and atoms:
```
CoOF
1.0
4.4638 0.0000 0.0000
0.0000 4.4638 0.0000
0.0000 0.0000 6.1253
Co O F
4 4 4
direct
0.0273 0.0273 0.0000 Co
0.4727 0.5273 0.2500 Co
0.5273 0.4727 0.7500 Co
0.9727 0.9727 0.5000 Co
0.1803 0.8197 0.2500 O
0.3197 0.3197 0.0000 O
0.6803 0.6803 0.5000 O
0.8197 0.1803 0.7500 O
0.2213 0.7787 0.7500 F
0.2787 0.2787 0.5000 F
0.7213 0.7213 0.0000 F
0.7787 0.2213 0.2500 F
```

Peak list (6 most intense, 10° ≤ 2θ ≤ 80°, by angle)
28.27 deg, I = 100; 35.55 deg, I = 67; 41.06 deg, I = 19; 54.90 deg, I = 57; 58.48 deg, I = 16; 70.34 deg, I = 17

2.
The following is a computed powder XRD pattern of Co3O4F2. It was derived from a cell relaxed with PBE+U, using Cu Kα (λ = 1.5418 Å).
No peak broadening, texture or thermal motion is included.

Cell and atoms:
```
Co3O4F2
1.0
4.5915 0.0000 0.0000
0.5480 5.4023 0.0000
0.6352 0.7091 7.4343
Co O F
6 8 4
direct
0.0000 0.0000 0.0000 Co
0.0082 0.6740 0.3340 Co
0.4534 0.1365 0.3174 Co
0.5000 0.5000 0.0000 Co
0.5466 0.8635 0.6826 Co
0.9918 0.3260 0.6660 Co
0.1763 0.9551 0.2179 O
0.3029 0.1230 0.5640 O
0.3047 0.4618 0.2305 O
0.3110 0.8018 0.8964 O
0.6890 0.1982 0.1036 O
0.6953 0.5382 0.7695 O
0.6971 0.8770 0.4360 O
0.8237 0.0449 0.7821 O
0.1894 0.6152 0.5724 F
0.1909 0.2824 0.9140 F
0.8091 0.7176 0.0860 F
0.8106 0.3848 0.4276 F
```

Peak list (6 most intense, 10° ≤ 2θ ≤ 80°, by angle)
25.83 deg, I = 100; 29.37 deg, I = 85; 36.31 deg, I = 26; 36.60 deg, I = 42; 52.44 deg, I = 26; 53.12 deg, I = 27

3.
The following is a computed powder XRD pattern of Co6O7F5. It was derived from a cell relaxed with PBE+U, using Cu Kα (λ = 1.5418 Å).
No peak broadening, texture or thermal motion is included.

Cell and atoms:
```
Co6O7F5
1.0
3.2398 -3.0603 0.0000
3.2398 3.0603 0.0000
-0.0184 0.0000 8.9974
Co O F
6 7 5
direct
0.0000 0.0000 0.0000 Co
0.0211 0.0272 0.6705 Co
0.4954 0.4964 0.8233 Co
0.5036 0.5046 0.1767 Co
0.5249 0.4751 0.5000 Co
0.9728 0.9789 0.3295 Co
0.1792 0.7931 0.1683 O
0.2069 0.8208 0.8317 O
0.3174 0.3174 0.6613 O
0.6826 0.6826 0.3387 O
0.7903 0.1812 0.1695 O
0.8127 0.1873 0.5000 O
0.8188 0.2097 0.8305 O
0.2037 0.7963 0.5000 F
0.2711 0.2749 0.3362 F
0.3063 0.3075 0.0080 F
0.6925 0.6937 0.9920 F
0.7251 0.7289 0.6638 F
```

Peak list (6 most intense, 10° ≤ 2θ ≤ 80°, by angle)
27.53 deg, I = 84; 29.18 deg, I = 81; 36.12 deg, I = 100; 54.40 deg, I = 25; 56.36 deg, I = 47; 70.88 deg, I = 31

4.
The following is a computed powder XRD pattern of Co6O5F7. It was derived from a cell relaxed with PBE+U, using Cu Kα (λ = 1.5418 Å).
No peak broadening, texture or thermal motion is included.

Cell and atoms:
```
Co6O5F7
1.0
4.6905 0.0000 0.0000
0.4064 5.5309 0.0000
0.5680 0.6177 7.6173
Co O F
6 5 7
direct
0.0000 0.0000 0.0000 Co
0.0165 0.3179 0.6634 Co
0.0420 0.6313 0.3205 Co
0.5039 0.1599 0.3312 Co
0.5304 0.4730 0.9930 Co
0.5845 0.8603 0.6808 Co
0.3276 0.1205 0.5630 O
0.3285 0.4456 0.2203 O
0.7004 0.1921 0.1042 O
0.7297 0.5237 0.7659 O
0.8390 0.0388 0.7648 O
0.1971 0.6074 0.5565 F
0.2089 0.9455 0.2309 F
0.2228 0.2885 0.8981 F
0.3322 0.7830 0.9011 F
0.7183 0.8503 0.4244 F
0.8219 0.3535 0.4237 F
0.8222 0.6888 0.1020 F
```

Peak list (6 most intense, 10° ≤ 2θ ≤ 80°, by angle)
25.68 deg, I = 100; 28.40 deg, I = 86; 35.10 deg, I = 26; 35.35 deg, I = 26; 35.52 deg, I = 24; 52.28 deg, I = 28

5.
The following is a computed powder XRD pattern of Co2O3F. It was derived from a cell relaxed with PBE+U, using Cu Kα (λ = 1.5418 Å).
No peak broadening, texture or thermal motion is included.

Cell and atoms:
```
Co2O3F
1.0
2.9589 -6.0538 0.0000
2.9589 6.0538 0.0000
0.0000 0.0000 6.3112
Co O F
8 12 4
direct
0.1254 0.3746 0.7500 Co
0.1251 0.8749 0.7761 Co
0.3746 0.1254 0.2500 Co
0.3749 0.6251 0.2761 Co
0.6251 0.3749 0.7239 Co
0.6254 0.8746 0.7500 Co
0.8749 0.1251 0.2239 Co
0.8746 0.6254 0.2500 Co
0.0278 0.4722 0.2500 O
0.1239 0.8761 0.0596 O
0.2219 0.2781 0.2500 O
0.2781 0.2219 0.7500 O
0.3761 0.6239 0.5596 O
0.4722 0.0278 0.7500 O
0.5278 0.9722 0.2500 O
0.6239 0.3761 0.4404 O
0.7219 0.7781 0.2500 O
0.7781 0.7219 0.7500 O
0.8761 0.1239 0.9404 O
0.9722 0.5278 0.7500 O
0.1260 0.8740 0.4699 F
0.3740 0.6260 0.9699 F
0.6260 0.3740 0.0301 F
0.8740 0.1260 0.5301 F
```

Peak list (6 most intense, 10° ≤ 2θ ≤ 80°, by angle)
28.28 deg, I = 75; 29.51 deg, I = 80; 36.68 deg, I = 100; 55.72 deg, I = 44; 57.15 deg, I = 47; 72.32 deg, I = 28

6.
The following is a computed powder XRD pattern of Co3OF5. It was derived from a cell relaxed with PBE+U, using Cu Kα (λ = 1.5418 Å).
No peak broadening, texture or thermal motion is included.

Cell and atoms:
```
Co3OF5
1.0
9.4711 0.0000 0.0000
0.0000 4.7191 0.0000
0.0000 0.0000 4.7156
Co O F
6 2 10
direct
0.0000 0.2193 0.0000 Co
0.1600 0.7543 0.5417 Co
0.3400 0.2457 0.0417 Co
0.5000 0.7807 0.5000 Co
0.6600 0.2457 0.0417 Co
0.8400 0.7543 0.5417 Co
0.0000 0.9387 0.7318 O
0.5000 0.0613 0.2318 O
0.0000 0.5340 0.3189 F
0.1664 0.0548 0.2284 F
0.1693 0.4363 0.8342 F
0.3307 0.5637 0.3342 F
0.3336 0.9452 0.7284 F
0.5000 0.4660 0.8189 F
0.6664 0.9452 0.7284 F
0.6693 0.5637 0.3342 F
0.8307 0.4363 0.8342 F
0.8336 0.0548 0.2284 F
```

Peak list (6 most intense, 10° ≤ 2θ ≤ 80°, by angle)
26.73 deg, I = 100; 34.18 deg, I = 57; 39.29 deg, I = 20; 52.14 deg, I = 63; 55.06 deg, I = 18; 65.41 deg, I = 13

7.
The following is a computed powder XRD pattern of Co6O5F7. It was derived from a cell relaxed with PBE+U, using Cu Kα (λ = 1.5418 Å).
No peak broadening, texture or thermal motion is included.

Cell and atoms:
```
Co6O5F7
1.0
4.5116 -3.2812 0.0000
4.5116 3.2812 0.0000
-2.7512 0.0000 6.6472
Co O F
6 5 7
direct
0.0000 0.0000 0.0000 Co
0.0034 0.0034 0.4900 Co
0.3276 0.3276 0.3241 Co
0.3560 0.3560 0.8421 Co
0.6350 0.6350 0.1500 Co
0.6839 0.6839 0.6382 Co
0.1064 0.1064 0.2834 O
0.2837 0.7212 0.9994 O
0.5491 0.5491 0.3607 O
0.7212 0.2837 0.9994 O
0.9060 0.9060 0.7099 O
0.0143 0.6279 0.3239 F
0.2426 0.2426 0.0331 F
0.3749 0.9775 0.6659 F
0.4337 0.4337 0.6191 F
0.6279 0.0143 0.3239 F
0.7548 0.7548 0.9558 F
0.9775 0.3749 0.6659 F
```

Peak list (6 most intense, 10° ≤ 2θ ≤ 80°, by angle)
27.18 deg, I = 100; 35.07 deg, I = 27; 35.42 deg, I = 27; 53.30 deg, I = 15; 53.81 deg, I = 16; 56.05 deg, I = 17

8.
The following is a computed powder XRD pattern of Co6O7F5. It was derived from a cell relaxed with PBE+U, using Cu Kα (λ = 1.5418 Å).
No peak broadening, texture or thermal motion is included.

Cell and atoms:
```
Co6O7F5
1.0
8.8483 0.0000 0.0000
0.0000 3.0432 3.4673
0.0000 -3.0432 3.4673
Co O F
6 7 5
direct
0.0000 0.0000 0.0000 Co
0.1618 0.4498 0.4498 Co
0.3339 0.9484 0.9484 Co
0.5000 0.4460 0.4460 Co
0.6661 0.9484 0.9484 Co
0.8382 0.4498 0.4498 Co
0.0000 0.2679 0.2679 O
0.1667 0.1509 0.7646 O
0.1667 0.7646 0.1509 O
0.5000 0.1385 0.7515 O
0.5000 0.7515 0.1385 O
0.8333 0.1509 0.7646 O
0.8333 0.7646 0.1509 O
0.0000 0.6565 0.6565 F
0.3418 0.6298 0.6298 F
0.3456 0.2614 0.2614 F
0.6544 0.2614 0.2614 F
0.6582 0.6298 0.6298 F
```

Peak list (6 most intense, 10° ≤ 2θ ≤ 80°, by angle)
25.69 deg, I = 100; 29.35 deg, I = 82; 36.24 deg, I = 92; 52.50 deg, I = 59; 56.64 deg, I = 45; 69.38 deg, I = 35